# Pm4Al2TlZn
Simulated powder diffractogram, Cu Kα, 1.54184 Å. Input: a structure optimized by DFT (PBE).
Kinematic intensities with the Lorentz-polarization factor, no thermal factor.

Principal peaks in the range 10 to 90 degrees two-theta, most intense first:
Position (°2θ)	I (rel.)
33.83	100.0
60.52	36.2
48.60	17.8
81.17	15.1
20.53	12.9
71.17	11.0
23.75	10.1
39.90	7.4

Structural model:
a = 9.175 Å, b = 9.175 Å, c = 9.175 Å
α = 33.58°, β = 33.58°, γ = 33.58°
Fractional coordinates of all 8 atoms:
1 Pm 0.120 0.120 0.120
2 Pm 0.371 0.371 0.371
3 Pm 0.629 0.629 0.629
4 Pm 0.880 0.880 0.880
5 Al 0.249 0.249 0.249
6 Al 0.751 0.751 0.751
7 Tl 0.500 0.500 0.500
8 Zn 0.000 0.000 0.000